Tl5Re6Se8Cl7: calculated X-ray diffraction stick pattern (CuKα), based on a structure optimized by DFT (PBE).
No peak broadening, texture or thermal motion is included.

Atomic structure:
Cell lengths 9.5884, 9.5884, 52.8150 Å; angles 90.00, 90.00, 120.00 degrees
Space group R3c (No. 161, hexagonal axes)
Symmetry-distinct sites (fractional):
Tl1 0.0000 0.0000 0.0000
Tl2 0.0000 0.0000 0.1939
Tl3 0.0000 0.3020 0.0972
Re1 0.0312 0.1728 0.8677
Re2 0.1728 0.0314 0.3265
Se1 0.0000 0.0000 0.2878
Se2 0.0000 0.0000 0.4064
Se3 0.0006 0.3948 0.7002
Se4 0.0618 0.3340 0.8273
Cl1 0.0000 0.0000 0.1052
Cl2 0.0118 0.2673 0.9654
Cl3 0.0761 0.3990 0.8955

Peak list (10 most intense, 2θ = 10–80°, by intensity)
2θ = 11.17°, intensity 1000, (0 1 2); 2θ = 10.05°, intensity 475, (0 0 6); 2θ = 12.59°, intensity 417, (1 0 4); 2θ = 45.79°, intensity 358, (2 2 15); 2θ = 21.10°, intensity 318, (1 1 6); 2θ = 31.53°, intensity 255, (1 1 15); 2θ = 32.34°, intensity 251, (3 0 0); 2θ = 19.19°, intensity 227, (1 1 3); 2θ = 33.20°, intensity 220, (2 1 10); 2θ = 39.08°, intensity 216, (1 0 22)